Structure and theoretical powder XRD pattern of Li3Y (the PBE geometry in Alexandria; a wavelength of 1.5418 Å).

```
data_Li3Y
_cell_length_a 4.6079
_cell_length_b 4.6079
_cell_length_c 4.6079
_cell_angle_alpha 90.00
_cell_angle_beta 90.00
_cell_angle_gamma 90.00
_symmetry_space_group_name_H-M 'P m -3 m'
_symmetry_Int_Tables_number 221
_symmetry_space_group_name_Hall '-P 4 2 3'
loop_
_atom_site_label
_atom_site_type_symbol
_atom_site_fract_x
_atom_site_fract_y
_atom_site_fract_z
Li1 Li 0.0000 0.0000 0.5000
Y1 Y 0.5000 0.5000 0.5000
```

Top 10 peaks for 10° ≤ 2θ ≤ 90°, most intense first:
(1 0 0), 2θ 19.26, I 1000; (1 1 0), 2θ 27.37, I 837; (1 1 1), 2θ 33.69, I 491; (2 1 0), 2θ 43.94, I 448; (2 1 1), 2θ 48.39, I 336; (2 0 0), 2θ 39.10, I 242; (3 0 0), 2θ 60.25, I 213; (3 1 1), 2θ 67.41, I 186; (2 2 0), 2θ 56.49, I 162; (3 2 1), 2θ 77.51, I 160